Diffraction record for AlFeCl6. The powder X-ray diffraction pattern is simulated, not measured: it uses a structure optimized by DFT (GGA-PBE) and Cu Kα X-rays.
Kinematic intensities with the Lorentz-polarization factor, no thermal factor.

Structural model:
```
AlFeCl6
1.0
5.9694 -3.4666 0.0000
5.9694 3.4666 0.0000
-4.0367 0.0000 5.7571
Al Fe Cl
1 1 6
Cartesian
0.0000 0.0000 0.0000
6.0206 0.0000 3.1543
-0.8929 0.0000 1.9058
1.0276 1.8247 4.5117
-1.9519 0.0000 5.6052
3.9036 0.0000 3.3014
1.0276 -1.8247 4.5117
6.9336 0.0000 1.2210
```

Main lines, by angle (2θ = 10–90°):
2θ 15.7, I = 100.0
2θ 18.0, I = 60.0
2θ 25.5, I = 54.8
2θ 25.7, I = 40.5
2θ 25.8, I = 29.5
2θ 30.1, I = 38.4
2θ 31.6, I = 89.4
2θ 41.4, I = 30.4



Diffraction record for HoAl3Cl12. The powder X-ray diffraction pattern is simulated, not measured: it uses a structure optimized by DFT (GGA-PBE) and Cu Kα X-rays.
Kinematic intensities with the Lorentz-polarization factor, no thermal factor.

Structural model:
```
HoAl3Cl12
1.0
10.5064 0.0000 0.0000
-5.2532 9.0988 0.0000
0.0000 0.0000 15.5948
Ho Al Cl
3 9 36
Cartesian
0.0000 3.0784 2.5991
-2.5872 7.5596 12.9957
2.5872 7.5596 7.7974
-1.0330 5.4695 0.0000
2.7078 0.8192 3.6282
2.0633 1.9354 11.9666
1.0330 5.4695 5.1983
0.0000 7.2587 10.3965
7.7986 0.8192 1.5701
4.6088 6.3442 14.0247
8.4431 1.9354 8.8265
5.8977 6.3442 6.7683
-0.8823 1.5616 0.5275
-4.3420 7.5540 15.0673
-2.0583 4.8210 1.7832
-2.1073 4.9058 13.8116
-0.1953 2.8456 8.5050
-2.8865 7.5069 7.0898
-0.8784 4.5150 4.9440
-1.7823 6.0807 10.6508
0.8823 1.5616 4.6707
-3.4597 9.0821 10.9241
0.1953 2.8456 12.2881
-2.6912 7.8451 3.3067
2.7715 1.0495 13.8755
2.2946 1.8754 1.7193
0.8784 4.5150 0.2543
-0.9040 7.6021 15.3405
2.0583 4.8210 3.4150
-0.0490 8.4709 12.1798
2.1073 4.9058 6.9815
0.0490 8.4709 8.6133
1.7823 6.0807 10.1422
0.9040 7.6021 5.4526
4.4295 1.5658 4.5706
3.5708 3.0532 11.0242
6.0769 1.5658 0.6277
4.3944 4.4799 14.9671
2.8865 7.5069 13.7032
2.6912 7.8451 1.8916
7.7350 1.0495 6.9176
4.7764 6.1739 8.6772
6.9357 3.0532 9.7688
6.1120 4.4799 5.8260
4.3420 7.5540 5.7258
3.4597 9.0821 9.8690
8.2118 1.8754 3.4789
5.7301 6.1739 12.1158
```

Main lines, by angle (2θ = 10–90°):
2θ 11.3, I = 100.0
2θ 15.0, I = 69.6
2θ 19.5, I = 19.6
2θ 24.1, I = 24.3
2θ 26.0, I = 24.4
2θ 31.7, I = 24.4
2θ 33.4, I = 26.2
2θ 38.4, I = 34.6